[1]
Simulated powder diffractogram
Compound: Na4Nd3GaSe8
Radiation: Cu Kα (λ = 1.5418 Å)
Structure: DFT lattice parameters and positions (GGA-PBE)
Neutral-atom scattering factors, no anomalous dispersion.

Structural model:
```
data_Na4Nd3GaSe8
_space_group_name_H-M_alt 'P 1'
_space_group_IT_number 1
_cell_length_a 8.3997
_cell_length_b 8.3997
_cell_length_c 8.5519
_cell_angle_alpha 119.57
_cell_angle_beta 119.57
_cell_angle_gamma 59.70
loop_
_space_group_symop_operation_xyz
'x,y,z'
loop_
_atom_site_label
_atom_site_fract_x
_atom_site_fract_y
_atom_site_fract_z
Na1 0.0000 0.0000 0.0000
Na2 0.0000 0.5000 0.0000
Na3 0.5000 0.0000 0.0000
Na4 0.5000 0.5000 0.0000
Nd1 0.0000 0.0000 0.5000
Nd2 0.0000 0.5000 0.5000
Nd3 0.5000 0.0000 0.5000
Ga1 0.5000 0.5000 0.5000
Se1 0.2455 0.2455 0.7382
Se2 0.2579 0.2579 0.2635
Se3 0.2712 0.7256 0.7229
Se4 0.2744 0.7288 0.2771
Se5 0.7256 0.2712 0.7229
Se6 0.7288 0.2744 0.2771
Se7 0.7421 0.7421 0.7365
Se8 0.7545 0.7545 0.2618
```

Most intense lines, 10 to 80 degrees two-theta, in order of rising 2θ:
d/Å	2θ (°)	Rel. int.
7.033	12.59	40
2.991	29.87	100
2.137	42.28	12
2.132	42.39	24
2.100	43.08	24
1.714	53.45	12

[2]
Simulated powder diffractogram
Compound: Dy3Al9Ir2
Radiation: Cu Kα (λ = 1.5418 Å)
Structure: DFT lattice parameters and positions (GGA-PBE)
Neutral-atom scattering factors, no anomalous dispersion.

Structural model:
```
data_Dy3Al9Ir2
_space_group_name_H-M_alt 'P 1'
_space_group_IT_number 1
_cell_length_a 8.1287
_cell_length_b 8.1287
_cell_length_c 8.1287
_cell_angle_alpha 149.32
_cell_angle_beta 106.82
_cell_angle_gamma 81.41
loop_
_space_group_symop_operation_xyz
'x,y,z'
loop_
_atom_site_label
_atom_site_fract_x
_atom_site_fract_y
_atom_site_fract_z
Dy1 0.0000 0.0000 0.0000
Dy2 0.2953 0.2953 0.0000
Dy3 0.7047 0.7047 0.0000
Al1 0.0122 0.6502 0.3620
Al2 0.1542 0.8701 0.2841
Al3 0.2883 0.6502 0.6380
Al4 0.4140 0.1299 0.2841
Al5 0.5000 0.0000 0.5000
Al6 0.5860 0.8701 0.7159
Al7 0.7117 0.3498 0.3620
Al8 0.8458 0.1299 0.7159
Al9 0.9878 0.3498 0.6380
Ir1 0.3225 0.5000 0.8225
Ir2 0.6775 0.5000 0.1775
```

Most intense lines, 10 to 80 degrees two-theta, in order of rising 2θ:
d/Å	2θ (°)	Rel. int.
3.931	22.62	51
2.535	35.41	100
2.425	37.08	32
2.382	37.77	30
2.150	42.02	23
1.641	56.04	20

[3]
Simulated powder diffractogram
Compound: Pu2Co5Ni5
Radiation: Cu Kα (λ = 1.5418 Å)
Structure: DFT lattice parameters and positions (GGA-PBE)
Neutral-atom scattering factors, no anomalous dispersion.

Structural model:
```
data_Pu2Co5Ni5
_space_group_name_H-M_alt 'P 1'
_space_group_IT_number 1
_cell_length_a 3.9940
_cell_length_b 4.8532
_cell_length_c 8.3859
_cell_angle_alpha 90.00
_cell_angle_beta 90.00
_cell_angle_gamma 90.00
loop_
_space_group_symop_operation_xyz
'x,y,z'
loop_
_atom_site_label
_atom_site_fract_x
_atom_site_fract_y
_atom_site_fract_z
Pu1 0.0000 0.0000 0.0000
Pu2 0.0000 0.5000 0.5000
Co1 0.0000 0.0000 0.3322
Co2 0.0000 0.0000 0.6678
Co3 0.0000 0.5000 0.1627
Co4 0.0000 0.5000 0.8373
Co5 0.5000 0.5000 0.0000
Ni1 0.5000 0.0000 0.5000
Ni2 0.5000 0.2499 0.2495
Ni3 0.5000 0.2499 0.7505
Ni4 0.5000 0.7501 0.2495
Ni5 0.5000 0.7501 0.7505
```

Most intense lines, 10 to 80 degrees two-theta, in order of rising 2θ:
d/Å	2θ (°)	Rel. int.
2.894	30.90	80
2.424	37.09	38
2.099	43.10	39
2.072	43.69	100
1.997	45.42	25
1.447	64.39	24

[4]
Simulated powder diffractogram
Compound: HoMnV
Radiation: Cu Kα (λ = 1.5418 Å)
Structure: DFT lattice parameters and positions (GGA-PBE)
Neutral-atom scattering factors, no anomalous dispersion.

Structural model:
```
data_HoMnV
_space_group_name_H-M_alt 'P 1'
_space_group_IT_number 1
_cell_length_a 3.7388
_cell_length_b 3.7388
_cell_length_c 4.6730
_cell_angle_alpha 90.00
_cell_angle_beta 90.00
_cell_angle_gamma 120.00
loop_
_space_group_symop_operation_xyz
'x,y,z'
loop_
_atom_site_label
_atom_site_fract_x
_atom_site_fract_y
_atom_site_fract_z
Ho1 0.0000 0.0000 0.0000
Mn1 0.3333 0.6667 0.5000
V1 0.6667 0.3333 0.5000
```

Most intense lines, 10 to 80 degrees two-theta, in order of rising 2θ:
d/Å	2θ (°)	Rel. int.
3.238	27.55	21
2.661	33.68	100
2.337	38.53	18
1.869	48.71	27
1.530	60.52	18
1.460	63.76	23

Q: Number 2 is which compound?
A: Dy3Al9Ir2